Simulated powder diffraction line list
Compound: Dy5Ho7Er
Radiation: Cu Ka
Structure: a cell relaxed with PBE

Atomic structure:
```
Dy5Ho7Er
1.0
-3.312 5.523 5.720
3.312 -5.523 5.720
3.312 5.523 -5.720
Dy Ho Er
5 7 1
direct
0.000 0.000 0.000
0.228 0.269 0.495
0.228 0.732 0.958
0.774 0.269 0.042
0.774 0.732 0.505
0.080 0.251 0.830
0.421 0.251 0.170
0.500 0.500 0.000
0.501 0.001 0.500
0.580 0.750 0.830
0.807 0.307 0.500
0.920 0.750 0.170
0.194 0.694 0.500
```

Largest 6 diffraction maxima, by angle, 10° ≤ 2θ ≤ 90°:
| d_spacing | Position (°2θ) | Rel. int. |
| --- | --- | --- |
| 3.218 | 27.72 | 30.7 |
| 2.862 | 31.25 | 100.0 |
| 2.839 | 31.51 | 59.2 |
| 2.805 | 31.91 | 82.0 |
| 2.544 | 35.28 | 79.3 |
| 1.583 | 58.29 | 32.5 |